Record 1
Calculated XRD peak list of SrAg2As4 for Cu Kα, from a structure optimized by DFT (GGA-PBE).
Lines closer than 0.1° are merged.

Principal peaks in the range 2θ = 5–70°, low angle first:
2theta, I_rel
25.90, 38
31.66, 60
32.63, 100
33.18, 49
33.78, 92
34.16, 41
40.84, 26
42.49, 32
45.64, 27
55.77, 46

Structure:
Unit cell a=11.971 b=11.673 c=5.548 alpha=79.44 beta=73.45 gamma=27.10
Fractional coordinates of all 14 atoms:
Sr 0.125 0.125 0.125
Sr 0.875 0.875 0.875
Ag 0.037 0.037 0.713
Ag 0.287 0.287 0.963
Ag 0.713 0.713 0.037
Ag 0.963 0.963 0.287
As 0.094 0.514 0.400
As 0.400 0.492 0.094
As 0.486 0.906 0.508
As 0.492 0.400 0.514
As 0.508 0.600 0.486
As 0.514 0.094 0.492
As 0.600 0.508 0.906
As 0.906 0.486 0.600



Record 2
Calculated XRD peak list of Ag2Au3 for Cu Kα, from a structure optimized by DFT (GGA-PBE).
Lines closer than 0.1° are merged.

Principal peaks in the range 2θ = 5–70°, low angle first:
2theta, I_rel
13.60, 1
21.05, 4
30.71, 4
37.53, 100
42.86, 17
43.98, 32
49.25, 2
53.64, 2
63.09, 22
63.95, 10

Structure:
Unit cell a=6.510 b=6.510 c=4.220 alpha=90.00 beta=90.00 gamma=90.00
Fractional coordinates of all 10 atoms:
Ag 0.100 0.700 0.000
Ag 0.300 0.100 0.000
Ag 0.700 0.900 0.000
Ag 0.900 0.300 0.000
Au 0.000 0.000 0.500
Au 0.199 0.399 0.500
Au 0.399 0.801 0.500
Au 0.500 0.500 0.000
Au 0.601 0.199 0.500
Au 0.801 0.601 0.500



Record 3
Calculated XRD peak list of Ba2AgAu2 for Cu Kα, from a structure optimized by DFT (GGA-PBE).
Lines closer than 0.1° are merged.

Principal peaks in the range 2θ = 5–70°, low angle first:
2theta, I_rel
19.10, 25
29.84, 44
30.00, 44
31.88, 45
33.27, 100
38.48, 35
38.75, 25
48.66, 17
59.48, 20
59.71, 20

Structure:
Unit cell a=10.381 b=7.043 c=4.680 alpha=90.00 beta=116.44 gamma=90.00
Fractional coordinates of all 10 atoms:
Ba 0.000 0.000 0.000
Ba 0.076 0.500 0.580
Ba 0.500 0.500 0.000
Ba 0.576 0.000 0.580
Ag 0.287 0.000 0.789
Ag 0.787 0.500 0.789
Au 0.288 0.285 0.290
Au 0.288 0.715 0.290
Au 0.788 0.215 0.290
Au 0.788 0.785 0.290



Record 4
Calculated XRD peak list of BaAgGeAuS4 for Cu Kα, from a structure optimized by DFT (GGA-PBE).
Lines closer than 0.1° are merged.

Principal peaks in the range 2θ = 5–70°, low angle first:
2theta, I_rel
16.15, 35
17.18, 56
24.20, 73
26.94, 51
27.98, 100
28.51, 79
29.33, 33
34.85, 57
35.68, 48
37.34, 43

Structure:
Unit cell a=9.687 b=8.242 c=6.626 alpha=90.00 beta=130.58 gamma=90.00
Fractional coordinates of all 16 atoms:
Ba 0.000 0.000 0.000
Ba 0.500 0.500 0.000
Ag 0.000 0.689 0.500
Ag 0.500 0.189 0.500
Ge 0.000 0.504 0.000
Ge 0.500 0.004 0.000
Au 0.000 0.331 0.500
Au 0.500 0.831 0.500
S 0.175 0.342 0.367
S 0.179 0.663 0.984
S 0.321 0.163 0.016
S 0.325 0.842 0.633
S 0.675 0.842 0.367
S 0.679 0.163 0.984
S 0.821 0.663 0.016
S 0.825 0.342 0.633



Record 5
Calculated XRD peak list of BaAgGeAuSe4 for Cu Kα, from a structure optimized by DFT (GGA-PBE).
Lines closer than 0.1° are merged.

Principal peaks in the range 2θ = 5–70°, low angle first:
2theta, I_rel
15.38, 49
16.54, 36
22.67, 34
26.93, 100
27.39, 72
27.74, 56
33.69, 64
33.84, 55
35.33, 52
43.15, 35

Structure:
Unit cell a=10.245 b=8.484 c=6.917 alpha=90.00 beta=130.02 gamma=90.00
Fractional coordinates of all 16 atoms:
Ba 0.000 0.000 0.000
Ba 0.500 0.500 0.000
Ag 0.000 0.324 0.500
Ag 0.500 0.824 0.500
Ge 0.000 0.497 0.000
Ge 0.500 0.997 0.000
Au 0.000 0.674 0.500
Au 0.500 0.174 0.500
Se 0.177 0.665 0.372
Se 0.180 0.331 0.981
Se 0.320 0.831 0.019
Se 0.323 0.165 0.628
Se 0.677 0.165 0.372
Se 0.680 0.831 0.981
Se 0.820 0.331 0.019
Se 0.823 0.665 0.628



Record 6
Calculated XRD peak list of BaSiAgTe4Au for Cu Kα, from a structure optimized by DFT (GGA-PBE).
Lines closer than 0.1° are merged.

Principal peaks in the range 2θ = 5–70°, low angle first:
2theta, I_rel
14.79, 36
15.58, 38
25.70, 100
25.93, 63
26.85, 73
27.29, 44
32.08, 73
32.50, 53
33.23, 50
48.02, 45

Structure:
Unit cell a=10.829 b=8.918 c=7.382 alpha=90.00 beta=131.73 gamma=90.00
Fractional coordinates of all 16 atoms:
Ba 0.000 0.000 0.000
Ba 0.500 0.500 0.000
Si 0.000 0.497 0.000
Si 0.500 0.997 0.000
Ag 0.000 0.330 0.500
Ag 0.500 0.830 0.500
Te 0.184 0.662 0.382
Te 0.188 0.333 0.994
Te 0.312 0.833 0.006
Te 0.316 0.162 0.618
Te 0.684 0.162 0.382
Te 0.688 0.833 0.994
Te 0.812 0.333 0.006
Te 0.816 0.662 0.618
Au 0.000 0.666 0.500
Au 0.500 0.166 0.500



Record 7
Calculated XRD peak list of BaAgTe3Au for Cu Kα, from a structure optimized by DFT (GGA-PBE).
Lines closer than 0.1° are merged.

Principal peaks in the range 2θ = 5–70°, low angle first:
2theta, I_rel
13.72, 29
28.09, 34
29.14, 61
30.79, 69
32.12, 100
36.59, 22
38.22, 43
44.93, 24
49.86, 35
60.42, 20

Structure:
Unit cell a=6.870 b=6.870 c=11.617 alpha=90.00 beta=90.00 gamma=139.91
Fractional coordinates of all 12 atoms:
Ba 0.232 0.768 0.750
Ba 0.768 0.232 0.250
Ag 0.457 0.543 0.250
Ag 0.543 0.457 0.750
Te 0.064 0.936 0.250
Te 0.357 0.643 0.024
Te 0.357 0.643 0.476
Te 0.643 0.357 0.524
Te 0.643 0.357 0.976
Te 0.936 0.064 0.750
Au 0.000 0.000 0.000
Au 0.000 0.000 0.500



Record 8
Calculated XRD peak list of Gd2AgBi4Au for Cu Kα, from a structure optimized by DFT (GGA-PBE).
Lines closer than 0.1° are merged.

Principal peaks in the range 2θ = 5–70°, low angle first:
2theta, I_rel
26.24, 6
26.42, 6
32.82, 100
35.49, 13
39.33, 36
54.00, 16
56.83, 12
62.04, 6
67.21, 26
68.82, 8

Structure:
Unit cell a=4.582 b=4.582 c=10.119 alpha=90.00 beta=90.00 gamma=90.00
Fractional coordinates of all 8 atoms:
Gd 0.000 0.500 0.243
Gd 0.500 0.000 0.757
Ag 0.000 0.000 0.000
Bi 0.000 0.000 0.500
Bi 0.000 0.500 0.807
Bi 0.500 0.000 0.193
Bi 0.500 0.500 0.500
Au 0.500 0.500 0.000



Record 9
Calculated XRD peak list of AgAuBr2Cl2 for Cu Kα, from a structure optimized by DFT (GGA-PBE).
Lines closer than 0.1° are merged.

Principal peaks in the range 2θ = 5–70°, low angle first:
2theta, I_rel
14.83, 100
22.10, 27
24.62, 33
28.49, 96
30.96, 39
38.55, 31
39.09, 18
39.66, 23
45.32, 28
53.11, 17

Structure:
Unit cell a=7.057 b=7.057 c=13.605 alpha=115.94 beta=115.94 gamma=35.24
Fractional coordinates of all 12 atoms:
Ag 0.006 0.994 0.750
Ag 0.994 0.006 0.250
Au 0.500 0.500 0.000
Au 0.500 0.500 0.500
Br 0.353 0.411 0.096
Br 0.411 0.353 0.596
Br 0.589 0.647 0.404
Br 0.647 0.589 0.904
Cl 0.065 0.677 0.856
Cl 0.323 0.935 0.644
Cl 0.677 0.065 0.356
Cl 0.935 0.323 0.144



Record 10
Calculated XRD peak list of Cs2AgAuBr2Cl4 for Cu Kα, from a structure optimized by DFT (GGA-PBE).
Lines closer than 0.1° are merged.

Principal peaks in the range 2θ = 5–70°, low angle first:
2theta, I_rel
16.90, 29
23.41, 100
23.98, 96
32.48, 48
34.17, 87
40.78, 46
41.84, 43
47.87, 62
49.11, 30
60.12, 31

Structure:
Unit cell a=7.611 b=7.611 c=7.611 alpha=121.64 beta=121.64 gamma=87.18
Fractional coordinates of all 10 atoms:
Cs 0.250 0.750 0.500
Cs 0.750 0.250 0.500
Ag 0.000 0.000 0.000
Au 0.500 0.500 0.000
Br 0.271 0.271 0.000
Br 0.729 0.729 0.000
Cl 0.241 0.241 0.482
Cl 0.241 0.759 0.000
Cl 0.759 0.241 0.000
Cl 0.759 0.759 0.518



Record 11
Calculated XRD peak list of Cs2AgAuBr2Cl4 for Cu Kα, from a structure optimized by DFT (GGA-PBE).
Lines closer than 0.1° are merged.

Principal peaks in the range 2θ = 5–70°, low angle first:
2theta, I_rel
16.71, 27
22.77, 100
23.71, 89
30.99, 44
33.79, 76
39.40, 41
41.13, 40
46.50, 53
48.53, 26
58.70, 25

Structure:
Unit cell a=7.839 b=7.839 c=7.839 alpha=122.81 beta=122.81 gamma=85.20
Fractional coordinates of all 10 atoms:
Cs 0.250 0.750 0.500
Cs 0.750 0.250 0.500
Ag 0.000 0.000 0.000
Au 0.500 0.500 0.000
Br 0.217 0.217 0.000
Br 0.783 0.783 0.000
Cl 0.277 0.277 0.554
Cl 0.277 0.723 0.000
Cl 0.723 0.277 0.000
Cl 0.723 0.723 0.446



Record 12
Calculated XRD peak list of Na2AgAuBr6 for Cu Kα, from a structure optimized by DFT (GGA-PBE).
Lines closer than 0.1° are merged.

Principal peaks in the range 2θ = 5–70°, low angle first:
2theta, I_rel
15.63, 88
17.10, 100
24.27, 38
28.32, 49
31.57, 59
34.59, 52
38.83, 64
42.09, 39
47.52, 38
50.87, 52

Structure:
Unit cell a=7.683 b=7.683 c=7.683 alpha=122.98 beta=122.98 gamma=84.91
Fractional coordinates of all 10 atoms:
Na 0.250 0.750 0.500
Na 0.750 0.250 0.500
Ag 0.000 0.000 0.000
Au 0.500 0.500 0.000
Br 0.194 0.657 0.851
Br 0.227 0.227 0.000
Br 0.343 0.194 0.537
Br 0.657 0.806 0.463
Br 0.773 0.773 0.000
Br 0.806 0.343 0.149